The following is a simulated X-ray diffraction stick pattern of MgOsPt2. It was derived from the PBE geometry in Alexandria, using Cu Kα.
No peak broadening, texture or thermal motion is included.

Crystal structure
Cell: 2.782 2.782 8.028 Å, 90.00 90.00 90.00°
Space group P4mm (No. 99)
Unique sites:
Mg: 0.000 0.000 0.000
Os: 0.500 0.500 0.262
Pt: 0.000 0.000 0.492
Pt: 0.500 0.500 0.754

Main lines, by intensity (15° ≤ 2θ ≤ 90°):
- hkl 1 0 2, 39.41°, rel. 100
- hkl 1 1 0, 46.15°, rel. 32
- hkl 2 1 2, 80.90°, rel. 25
- hkl 1 1 4, 66.57°, rel. 21
- hkl 0 0 4, 45.18°, rel. 17
- hkl 1 0 6, 79.49°, rel. 12
- hkl 2 0 0, 67.32°, rel. 12
- hkl 2 0 4, 84.81°, rel. 11
- hkl 1 0 1, 34.11°, rel. 10
- hkl 0 0 2, 22.15°, rel. 9